[1]
The following is a computed powder diffractogram of ZnCd6Ag3. It was derived from DFT lattice parameters and positions (GGA-PBE), using Cu Kα.

Atomic structure:
```
data_ZnCd6Ag3
_cell_length_a 7.6007
_cell_length_b 7.0482
_cell_length_c 10.3134
_cell_angle_alpha 90.00
_cell_angle_beta 130.97
_cell_angle_gamma 90.00
_space_group_name_H-M_alt 'P 1 21/c 1'
_space_group_IT_number 14
loop_
_space_group_symop_operation_xyz
'x,y,z'
'-x,-y,-z'
'-x,y+1/2,-z+1/2'
'x,-y+1/2,z+1/2'
loop_
_atom_site_label
_atom_site_fract_x
_atom_site_fract_y
_atom_site_fract_z
Zn1 0.0000 0.0000 0.0000
Cd1 0.0071 0.1266 0.2992
Cd2 0.2544 0.1867 0.6848
Cd3 0.4020 0.6130 0.8472
Ag1 0.2555 0.6944 0.0435
Ag2 0.5000 0.0000 0.0000
```

Main lines, in order of falling intensity (2θ = 5–70°):
- 2θ = 37.60°, 2.392 Å, I 100
- 2θ = 37.15°, 2.420 Å, I 83
- 2θ = 40.07°, 2.250 Å, I 65
- 2θ = 35.54°, 2.526 Å, I 59
- 2θ = 36.29°, 2.476 Å, I 58
- 2θ = 36.90°, 2.436 Å, I 51
- 2θ = 40.54°, 2.225 Å, I 41
- 2θ = 35.90°, 2.502 Å, I 34
- 2θ = 38.54°, 2.336 Å, I 29
- 2θ = 30.17°, 2.963 Å, I 28



[2]
The following is a computed powder diffractogram of ZnCd3Ag3. It was derived from DFT lattice parameters and positions (GGA-PBE), using Cu Kα.

Atomic structure:
```
data_ZnCd3Ag3
_cell_length_a 9.4796
_cell_length_b 9.6879
_cell_length_c 6.0465
_cell_angle_alpha 90.00
_cell_angle_beta 90.00
_cell_angle_gamma 90.00
_space_group_name_H-M_alt 'C m m m'
_space_group_IT_number 65
_space_group_name_Hall '-C 2 2'
loop_
_atom_site_label
_atom_site_fract_x
_atom_site_fract_y
_atom_site_fract_z
Zn1 0.0000 0.2449 0.0000
Cd1 0.0000 0.2652 0.5000
Cd2 0.1712 0.5000 0.0000
Cd3 0.2288 0.5000 0.5000
Ag1 0.0000 0.0000 0.2399
Ag2 0.2500 0.2500 0.2378
```

Main lines, in order of falling intensity (2θ = 5–70°):
- 2θ = 39.97°, 2.256 Å, I 100
- 2θ = 37.12°, 2.422 Å, I 33
- 2θ = 37.97°, 2.370 Å, I 18
- 2θ = 68.83°, 1.364 Å, I 16
- 2θ = 29.74°, 3.004 Å, I 15
- 2θ = 32.43°, 2.761 Å, I 12
- 2θ = 54.15°, 1.694 Å, I 12
- 2θ = 69.93°, 1.345 Å, I 8
- 2θ = 61.33°, 1.512 Å, I 7
- 2θ = 30.24°, 2.955 Å, I 5



[3]
The following is a computed powder diffractogram of ZnCd8Ag6. It was derived from DFT lattice parameters and positions (GGA-PBE), using Cu Kα.

Atomic structure:
```
data_ZnCd8Ag6
_cell_length_a 8.0649
_cell_length_b 8.0649
_cell_length_c 5.7272
_cell_angle_alpha 90.00
_cell_angle_beta 90.00
_cell_angle_gamma 120.00
_space_group_name_H-M_alt 'P -3 1 m'
_space_group_IT_number 162
_space_group_name_Hall '-P 3 2'
loop_
_atom_site_label
_atom_site_fract_x
_atom_site_fract_y
_atom_site_fract_z
Zn1 0.0000 0.0000 0.0000
Cd1 0.0000 0.3385 0.3645
Cd2 0.3333 0.6667 0.0000
Ag1 0.0000 0.3203 0.8597
```

Main lines, in order of falling intensity (2θ = 5–70°):
- 2θ = 38.56°, 2.335 Å, I 100
- 2θ = 38.67°, 2.328 Å, I 89
- 2θ = 69.94°, 1.345 Å, I 45
- 2θ = 55.76°, 1.649 Å, I 32
- 2θ = 22.04°, 4.032 Å, I 20
- 2θ = 27.04°, 3.297 Å, I 17
- 2θ = 69.69°, 1.349 Å, I 11
- 2θ = 15.47°, 5.727 Å, I 8
- 2θ = 41.89°, 2.157 Å, I 4
- 2θ = 47.83°, 1.902 Å, I 4



[4]
The following is a computed powder diffractogram of ZnCd3Ag7. It was derived from DFT lattice parameters and positions (GGA-PBE), using Cu Kα.

Atomic structure:
```
data_ZnCd3Ag7
_cell_length_a 4.8810
_cell_length_b 6.7376
_cell_length_c 6.8525
_cell_angle_alpha 84.89
_cell_angle_beta 76.36
_cell_angle_gamma 77.24
_space_group_name_H-M_alt 'P 1'
_space_group_IT_number 1
loop_
_space_group_symop_operation_xyz
'x,y,z'
loop_
_atom_site_label
_atom_site_fract_x
_atom_site_fract_y
_atom_site_fract_z
Zn1 0.0000 0.0000 0.0000
Cd1 0.2360 0.2525 0.2568
Cd2 0.4857 0.4924 0.5088
Cd3 0.7634 0.7339 0.7427
Ag1 0.2296 0.9415 0.5975
Ag2 0.2504 0.5933 0.9207
Ag3 0.4986 0.8347 0.1617
Ag4 0.5076 0.1670 0.8288
Ag5 0.7437 0.0787 0.4052
Ag6 0.7610 0.4036 0.0637
Ag7 0.9938 0.6690 0.3270
```

Main lines, in order of falling intensity (2θ = 5–70°):
- 2θ = 38.01°, 2.367 Å, I 100
- 2θ = 37.49°, 2.399 Å, I 53
- 2θ = 37.74°, 2.384 Å, I 49
- 2θ = 41.01°, 2.201 Å, I 40
- 2θ = 41.84°, 2.159 Å, I 38
- 2θ = 48.66°, 1.871 Å, I 23
- 2θ = 60.58°, 1.528 Å, I 12
- 2θ = 59.47°, 1.554 Å, I 12
- 2θ = 65.25°, 1.430 Å, I 9
- 2θ = 65.97°, 1.416 Å, I 9



[5]
The following is a computed powder diffractogram of Zn6Cd6Ag. It was derived from DFT lattice parameters and positions (GGA-PBE), using Cu Kα.

Atomic structure:
```
data_Zn6Cd6Ag
_cell_length_a 5.1922
_cell_length_b 9.1252
_cell_length_c 10.5144
_cell_angle_alpha 90.00
_cell_angle_beta 90.00
_cell_angle_gamma 90.00
_space_group_name_H-M_alt 'I m m m'
_space_group_IT_number 71
_space_group_name_Hall '-I 2 2'
loop_
_atom_site_label
_atom_site_fract_x
_atom_site_fract_y
_atom_site_fract_z
Zn1 0.0000 0.0000 0.2396
Zn2 0.2500 0.2500 0.2500
Cd1 0.0000 0.1636 0.0000
Cd2 0.0000 0.1673 0.5000
Cd3 0.0000 0.5000 0.1464
Ag1 0.0000 0.5000 0.5000
```

Main lines, in order of falling intensity (2θ = 5–70°):
- 2θ = 34.14°, 2.626 Å, I 100
- 2θ = 38.33°, 2.348 Å, I 82
- 2θ = 43.65°, 2.074 Å, I 48
- 2θ = 38.68°, 2.328 Å, I 40
- 2θ = 39.68°, 2.271 Å, I 36
- 2θ = 39.54°, 2.279 Å, I 31
- 2θ = 63.87°, 1.457 Å, I 30
- 2θ = 34.55°, 2.596 Å, I 28
- 2θ = 43.23°, 2.093 Å, I 26
- 2θ = 36.67°, 2.450 Å, I 26



[6]
The following is a computed powder diffractogram of Zn2Cd6Ag. It was derived from DFT lattice parameters and positions (GGA-PBE), using Cu Kα.

Atomic structure:
```
data_Zn2Cd6Ag
_cell_length_a 4.3431
_cell_length_b 12.6944
_cell_length_c 13.2669
_cell_angle_alpha 90.00
_cell_angle_beta 90.00
_cell_angle_gamma 90.00
_space_group_name_H-M_alt 'F m m m'
_space_group_IT_number 69
_space_group_name_Hall '-F 2 2'
loop_
_atom_site_label
_atom_site_fract_x
_atom_site_fract_y
_atom_site_fract_z
Zn1 0.0000 0.0000 0.1659
Cd1 0.0000 0.1567 0.3321
Cd2 0.0000 0.1610 0.0000
Ag1 0.0000 0.0000 0.5000
```

Main lines, in order of falling intensity (2θ = 5–70°):
- 2θ = 35.92°, 2.500 Å, I 100
- 2θ = 40.81°, 2.211 Å, I 18
- 2θ = 41.59°, 2.172 Å, I 17
- 2θ = 42.74°, 2.116 Å, I 14
- 2θ = 59.68°, 1.549 Å, I 11
- 2θ = 60.57°, 1.529 Å, I 10
- 2θ = 61.16°, 1.515 Å, I 9
- 2θ = 29.68°, 3.010 Å, I 3
- 2θ = 28.12°, 3.174 Å, I 2
- 2θ = 59.02°, 1.565 Å, I 2



[7]
The following is a computed powder diffractogram of Zn2Cd2Ag7. It was derived from DFT lattice parameters and positions (GGA-PBE), using Cu Kα.

Atomic structure:
```
data_Zn2Cd2Ag7
_cell_length_a 4.5656
_cell_length_b 12.6320
_cell_length_c 6.9927
_cell_angle_alpha 90.00
_cell_angle_beta 90.00
_cell_angle_gamma 90.00
_space_group_name_H-M_alt 'I m m 2'
_space_group_IT_number 44
loop_
_space_group_symop_operation_xyz
'x,y,z'
'-x,-y,z'
'-x,y,z'
'x,-y,z'
'x+1/2,y+1/2,z+1/2'
'-x+1/2,-y+1/2,z+1/2'
'-x+1/2,y+1/2,z+1/2'
'x+1/2,-y+1/2,z+1/2'
loop_
_atom_site_label
_atom_site_fract_x
_atom_site_fract_y
_atom_site_fract_z
Zn1 0.0000 0.0000 0.0000
Zn2 0.0000 0.5000 0.2079
Cd1 0.0000 0.2934 0.9916
Ag1 0.0000 0.1245 0.6967
Ag2 0.0000 0.1365 0.2833
Ag3 0.0000 0.3495 0.4917
Ag4 0.0000 0.5000 0.8051
```

Main lines, in order of falling intensity (2θ = 5–70°):
- 2θ = 38.86°, 2.318 Å, I 100
- 2θ = 36.92°, 2.435 Å, I 41
- 2θ = 39.48°, 2.283 Å, I 40
- 2θ = 40.82°, 2.211 Å, I 19
- 2θ = 39.31°, 2.292 Å, I 16
- 2θ = 29.19°, 3.059 Å, I 13
- 2θ = 33.04°, 2.711 Å, I 12
- 2θ = 67.50°, 1.388 Å, I 11
- 2θ = 52.34°, 1.748 Å, I 11
- 2θ = 65.40°, 1.427 Å, I 10



[8]
The following is a computed powder diffractogram of Zr2CdAg. It was derived from DFT lattice parameters and positions (GGA-PBE), using Cu Kα.

Atomic structure:
```
data_Zr2CdAg
_cell_length_a 11.1083
_cell_length_b 3.1512
_cell_length_c 5.3476
_cell_angle_alpha 90.00
_cell_angle_beta 115.47
_cell_angle_gamma 90.00
_space_group_name_H-M_alt 'C 1 m 1'
_space_group_IT_number 8
loop_
_space_group_symop_operation_xyz
'x,y,z'
'x,-y,z'
'x+1/2,y+1/2,z'
'x+1/2,-y+1/2,z'
loop_
_atom_site_label
_atom_site_fract_x
_atom_site_fract_y
_atom_site_fract_z
Zr1 0.0000 0.0000 0.0000
Zr2 0.2449 0.0000 0.8533
Cd1 0.4819 0.0000 0.4791
Ag1 0.2448 0.5000 0.3659
```

Main lines, in order of falling intensity (2θ = 5–70°):
- 2θ = 37.22°, 2.416 Å, I 100
- 2θ = 38.16°, 2.358 Å, I 76
- 2θ = 35.81°, 2.507 Å, I 50
- 2θ = 33.57°, 2.669 Å, I 34
- 2θ = 59.67°, 1.550 Å, I 18
- 2θ = 39.12°, 2.303 Å, I 17
- 2θ = 33.01°, 2.714 Å, I 17
- 2θ = 66.55°, 1.405 Å, I 14
- 2θ = 64.64°, 1.442 Å, I 13
- 2θ = 58.59°, 1.576 Å, I 12